Simulated X-ray powder pattern
Compound: Er2Tm7
Radiation: Cu Kα
Structure: a PBE-relaxed structure
Kinematic intensities with the Lorentz-polarization factor, no thermal factor.

Most intense lines, 2θ from 10° to 90°, low angle first:
2θ/deg, Rel. int., h k l
31.7, 81, 1 1 1
32.7, 100, 3 0 0
33.6, 27, 2 0 1
38.7, 19, 2 1 1
46.2, 23, 2 2 1
55.4, 20, 3 2 1
57.8, 20, 4 1 1
58.4, 15, 3 3 0
62.9, 31, 3 0 2
82.1, 11, 3 3 2

Lattice parameters (Å, degrees): 9.477 9.477 3.509 90.00 90.00 120.00
Positions (direct):
Er: 0.333 0.667 0.000
Er: 0.667 0.333 0.000
Tm: 0.000 0.000 0.500
Tm: 0.000 0.362 0.500
Tm: 0.000 0.695 0.000
Tm: 0.305 0.305 0.000
Tm: 0.362 0.000 0.500
Tm: 0.638 0.638 0.500
Tm: 0.695 0.000 0.000